Diffraction record for Pr2S3O20. The powder X-ray diffraction pattern is theoretical, not measured: it uses a crystal structure in the Materials Project, relaxed with PBE and Cu Ka.
Kinematic intensities with the Lorentz-polarization factor, no thermal factor.

Crystal structure
a b c (Å): 11.2881 6.7183 20.2674
angles (deg): 90.00 93.85 90.00
Space group Cc (No. 9)
Asymmetric unit:
Pr 0.0000 0.0018 0.0000 x4
Pr 0.3048 0.0066 0.7671 x4
S 0.1487 0.3280 0.6355 x4
S 0.3345 0.0039 0.9602 x4
S 0.4654 0.4946 0.3079 x4
O 0.0670 0.4471 0.8482 x4
O 0.0712 0.1844 0.5957 x4
O 0.0742 0.4568 0.6765 x4
O 0.0785 0.0222 0.7717 x4
O 0.1385 0.4085 0.4362 x4
O 0.1456 0.1501 0.0867 x4
O 0.1624 0.2508 0.2940 x4
O 0.1623 0.3628 0.8429 x4
O 0.2118 0.4578 0.5895 x4
O 0.2144 0.0004 0.4871 x4
O 0.2336 0.2131 0.6790 x4
O 0.2338 0.4938 0.4302 x4
O 0.3172 0.0049 0.3869 x4
O 0.3891 0.1235 0.1666 x4
O 0.3920 0.3234 0.2846 x4
O 0.3964 0.1903 0.9807 x4
O 0.4018 0.3881 0.5980 x4
O 0.4053 0.3163 0.7913 x4
O 0.4056 0.1705 0.4846 x4
O 0.4954 0.4814 0.3799 x4

Top 10 peaks for 15° ≤ 2θ ≤ 90°, low angle first:
- d = 5.770 Å, 15.36 deg, rel. 60, hkl 1 1 0
- d = 5.073 Å, 17.48 deg, rel. 87, hkl 2 0 -2
- d = 5.055 Å, 17.54 deg, rel. 47, hkl 0 0 4
- d = 4.939 Å, 17.96 deg, rel. 64, hkl 1 1 2
- d = 3.739 Å, 23.80 deg, rel. 72, hkl 1 1 4
- d = 3.363 Å, 26.50 deg, rel. 71, hkl 0 2 0
- d = 3.277 Å, 27.21 deg, rel. 100, hkl 3 1 0
- d = 2.798 Å, 31.98 deg, rel. 37, hkl 0 2 4
- d = 2.157 Å, 41.89 deg, rel. 35, hkl 4 2 0
- d = 1.947 Å, 46.65 deg, rel. 33, hkl 2 0 -10



Diffraction record for Pr2S3O20. The powder X-ray diffraction pattern is theoretical, not measured: it uses a crystal structure in the Materials Project, relaxed with PBE and Cu Ka.
Kinematic intensities with the Lorentz-polarization factor, no thermal factor.

Crystal structure
a b c (Å): 13.1491 6.7738 18.2415
angles (deg): 90.00 95.92 90.00
Space group C2/c (No. 15)
Asymmetric unit:
Pr 0.1736 0.0202 0.3838 x8
S 0.0000 0.3255 0.2500 x4
S 0.1967 0.0294 0.0892 x8
O 0.0078 0.1634 0.8766 x8
O 0.0464 0.4535 0.1950 x8
O 0.0568 0.3035 0.4628 x8
O 0.0792 0.1990 0.2903 x8
O 0.0973 0.4292 0.5051 x8
O 0.1148 0.0481 0.1388 x8
O 0.1568 0.0698 0.0109 x8
O 0.2091 0.4569 0.2080 x8
O 0.2232 0.3214 0.8861 x8
O 0.2434 0.1707 0.5920 x8

Top 10 peaks for 15° ≤ 2θ ≤ 90°, low angle first:
- d = 5.585 Å, 15.87 deg, rel. 62, hkl 2 0 -2
- d = 4.907 Å, 18.08 deg, rel. 56, hkl 1 1 2
- d = 4.536 Å, 19.57 deg, rel. 46, hkl 0 0 4
- d = 3.666 Å, 24.28 deg, rel. 100, hkl 3 1 0
- d = 3.559 Å, 25.02 deg, rel. 31, hkl 2 0 4
- d = 3.542 Å, 25.15 deg, rel. 50, hkl 1 1 4
- d = 3.387 Å, 26.31 deg, rel. 33, hkl 0 2 0
- d = 2.982 Å, 29.97 deg, rel. 29, hkl 3 1 -4
- d = 2.739 Å, 32.69 deg, rel. 38, hkl 3 1 4
- d = 2.154 Å, 41.94 deg, rel. 25, hkl 1 3 2